Diffraction record for La6Pm3Dy2. The PXRD pattern is theoretical, not measured: it uses a crystal structure in Alexandria, relaxed with GGA-PBE and Cu Kα X-rays.
Kinematic intensities with the Lorentz-polarization factor, no thermal factor.

Structure:
Lattice parameters (Å, degrees): 3.6873 3.6873 98.6812 90.00 90.00 120.00
Space group R-3m (No. 166, hexagonal axes)
One atom of each set of equivalent atoms:
La 0.0000 0.0000 0.0914 x6
La 0.0000 0.0000 0.1823 x6
La 0.0000 0.0000 0.3638 x6
Pm 0.0000 0.0000 0.0000 x3
Pm 0.0000 0.0000 0.2726 x6
Dy 0.0000 0.0000 0.4543 x6

Top 10 peaks for 2θ = 10–90°, in order of rising 2θ:
2theta  Rel. int.  h k l
29.7  100  0 1 11
29.9  33  0 0 33
34.5  67  1 0 22
49.4  24  1 1 0
49.7  24  0 1 44
58.7  14  2 0 11
58.8  29  1 1 33
59.1  14  1 0 55
61.7  12  0 2 22
80.3  12  1 2 11